Entry 1:
For LaRhC2, a GGA-PBE-relaxed structure gives the theoretical XRD peak list in this record (CuKα).
Neutral-atom scattering factors, no anomalous dispersion.

Structural model:
```
16
Lattice="3.991 0.000 0.000 0.000 3.991 0.000 0.000 0.000 15.417" Properties=species:S:1:pos:R:3 pbc="T T T"
La 0.592 0.595 0.000
La 0.595 3.399 11.563
La 3.396 0.592 3.854
La 3.399 3.396 7.709
Rh 1.361 1.409 9.154
Rh 1.409 2.631 5.300
Rh 2.583 1.361 13.009
Rh 2.631 2.583 1.446
C 0.612 2.610 2.125
C 1.334 1.400 7.081
C 1.382 0.612 5.979
C 1.400 2.658 3.227
C 2.592 1.334 10.935
C 2.610 3.379 13.688
C 2.658 2.592 14.790
C 3.379 1.382 9.833
```

Most intense lines, 2θ = 10–90°, in order of falling intensity:
32.27 deg, d 2.774, rel. 100; 33.82 deg, d 2.650, rel. 57; 28.31 deg, d 3.152, rel. 51; 36.83 deg, d 2.440, rel. 50; 63.46 deg, d 1.466, rel. 39; 45.85 deg, d 1.979, rel. 37; 23.05 deg, d 3.858, rel. 24; 67.50 deg, d 1.388, rel. 23; 75.60 deg, d 1.258, rel. 23; 52.64 deg, d 1.739, rel. 20; 47.13 deg, d 1.928, rel. 19; 36.32 deg, d 2.474, rel. 17

---

Entry 2:
For La4Ru3C5, a GGA-PBE-relaxed structure gives the theoretical XRD peak list in this record (CuKα).
Neutral-atom scattering factors, no anomalous dispersion.

Structural model:
```
12
Lattice="6.052 -2.007 0.000 6.052 2.007 0.000 -4.148 0.000 9.037" Properties=species:S:1:pos:R:3 pbc="T T T"
La -0.420 0.000 3.584
La -0.330 0.000 7.553
La 8.286 0.000 1.483
La 8.377 0.000 5.453
Ru 0.000 0.000 0.000
Ru 4.755 0.000 1.566
Ru 3.202 0.000 7.470
C 2.125 0.000 3.497
C 3.339 0.000 2.924
C 6.052 0.000 0.000
C 4.617 0.000 6.113
C 5.831 0.000 5.540
```

Most intense lines, 2θ = 10–90°, in order of falling intensity:
31.44 deg, d 2.846, rel. 100; 33.04 deg, d 2.711, rel. 91; 35.38 deg, d 2.537, rel. 45; 27.18 deg, d 3.281, rel. 42; 45.17 deg, d 2.007, rel. 38; 30.18 deg, d 2.961, rel. 30; 37.50 deg, d 2.398, rel. 27; 30.39 deg, d 2.941, rel. 26; 37.97 deg, d 2.370, rel. 25; 29.72 deg, d 3.006, rel. 24; 24.24 deg, d 3.672, rel. 22; 37.19 deg, d 2.418, rel. 22

---

Entry 3:
For La5CS4, a GGA-PBE-relaxed structure gives the theoretical XRD peak list in this record (CuKα).
Neutral-atom scattering factors, no anomalous dispersion.

Structural model:
```
10
Lattice="-4.600 4.600 2.920 4.600 -4.600 2.920 4.600 4.600 -2.920" Properties=species:S:1:pos:R:3 pbc="T T T"
La 0.000 0.000 0.000
La 5.453 2.047 0.017
La 2.047 3.748 0.017
La 2.554 0.852 2.937
La -0.852 2.554 2.937
C 0.000 0.000 2.960
S 2.777 0.878 0.015
S 3.722 -1.824 2.935
S 0.878 6.424 0.015
S 1.824 3.722 2.935
```

Most intense lines, 2θ = 10–90°, in order of falling intensity:
26.50 deg, d 3.364, rel. 100; 43.96 deg, d 2.060, rel. 87; 30.73 deg, d 2.910, rel. 82; 30.62 deg, d 2.920, rel. 43; 54.56 deg, d 1.682, rel. 29; 52.11 deg, d 1.755, rel. 26; 72.63 deg, d 1.302, rel. 20; 51.96 deg, d 1.760, rel. 17; 80.88 deg, d 1.189, rel. 14; 72.42 deg, d 1.305, rel. 13; 70.41 deg, d 1.337, rel. 10; 80.70 deg, d 1.191, rel. 9

---

Entry 4:
For LaThCS, a GGA-PBE-relaxed structure gives the theoretical XRD peak list in this record (CuKα).
Neutral-atom scattering factors, no anomalous dispersion.

Structural model:
```
4
Lattice="3.961 0.000 0.000 0.000 3.961 0.000 0.000 0.000 5.677" Properties=species:S:1:pos:R:3 pbc="T T T"
La 0.000 0.000 0.000
Th 1.981 1.981 2.839
C 0.000 0.000 2.839
S 1.981 1.981 0.000
```

Most intense lines, 2θ = 10–90°, in order of falling intensity:
27.46 deg, d 3.249, rel. 100; 31.95 deg, d 2.801, rel. 57; 45.49 deg, d 1.994, rel. 42; 54.24 deg, d 1.691, rel. 33; 31.52 deg, d 2.839, rel. 29; 56.67 deg, d 1.624, rel. 22; 45.81 deg, d 1.981, rel. 21; 53.68 deg, d 1.708, rel. 17; 84.55 deg, d 1.146, rel. 14; 73.18 deg, d 1.293, rel. 14; 75.02 deg, d 1.266, rel. 10; 22.44 deg, d 3.961, rel. 10

---

Entry 5:
For La5Sb4C, a GGA-PBE-relaxed structure gives the theoretical XRD peak list in this record (CuKα).
Neutral-atom scattering factors, no anomalous dispersion.

Structural model:
```
10
Lattice="-4.970 4.970 3.249 4.970 -4.970 3.249 4.970 4.970 -3.249" Properties=species:S:1:pos:R:3 pbc="T T T"
La 0.000 0.000 0.000
La 4.055 2.389 -0.371
La 2.582 -0.916 2.877
La 2.389 5.886 -0.371
La 0.916 2.582 2.877
Sb 6.870 0.845 -0.397
Sb 0.845 3.070 -0.397
Sb 4.125 1.900 2.852
Sb -1.900 4.125 2.852
C 0.000 0.000 2.465
```

Most intense lines, 2θ = 10–90°, in order of falling intensity:
28.39 deg, d 3.143, rel. 100; 39.91 deg, d 2.259, rel. 79; 27.46 deg, d 3.249, rel. 56; 49.70 deg, d 1.834, rel. 30; 40.59 deg, d 2.223, rel. 29; 35.37 deg, d 2.538, rel. 19; 64.58 deg, d 1.443, rel. 17; 30.28 deg, d 2.951, rel. 16; 61.41 deg, d 1.510, rel. 15; 58.22 deg, d 1.585, rel. 13; 24.26 deg, d 3.669, rel. 13; 73.39 deg, d 1.290, rel. 10

---

Entry 6:
For La4SbTeC, a GGA-PBE-relaxed structure gives the theoretical XRD peak list in this record (CuKα).
Neutral-atom scattering factors, no anomalous dispersion.

Structural model:
```
14
Lattice="3.596 -8.319 0.000 3.596 8.319 0.000 0.000 0.000 7.202" Properties=species:S:1:pos:R:3 pbc="T T T"
La 1.798 4.160 0.000
La 1.798 4.160 3.601
La 3.596 6.813 5.401
La 3.596 1.532 5.401
La 1.798 -4.160 0.000
La 1.798 -4.160 3.601
La 3.596 -1.532 1.800
La 3.596 -6.813 1.800
Sb 3.596 6.499 1.800
Sb 3.596 -6.499 5.401
Te 3.596 1.838 1.800
Te 3.596 -1.838 5.401
C 3.596 4.102 5.401
C 3.596 -4.102 1.800
```

Most intense lines, 2θ = 10–90°, in order of falling intensity:
32.91 deg, d 2.722, rel. 100; 27.00 deg, d 3.303, rel. 66; 35.27 deg, d 2.545, rel. 59; 48.56 deg, d 1.875, rel. 34; 61.81 deg, d 1.501, rel. 32; 61.39 deg, d 1.510, rel. 27; 32.28 deg, d 2.773, rel. 27; 50.74 deg, d 1.799, rel. 22; 24.74 deg, d 3.599, rel. 15; 58.41 deg, d 1.580, rel. 15; 83.61 deg, d 1.156, rel. 14; 10.63 deg, d 8.319, rel. 13

---

Entry 7:
For LaCSe2, a GGA-PBE-relaxed structure gives the theoretical XRD peak list in this record (CuKα).
Neutral-atom scattering factors, no anomalous dispersion.

Structural model:
```
4
Lattice="2.217 1.280 7.005 -2.217 1.280 7.005 0.000 -2.560 7.005" Properties=species:S:1:pos:R:3 pbc="T T T"
La 0.000 0.000 0.000
C 0.000 0.000 10.508
Se 0.000 0.000 8.671
Se 0.000 0.000 12.345
```

Most intense lines, 2θ = 10–90°, in order of falling intensity:
24.68 deg, d 3.607, rel. 100; 31.56 deg, d 2.835, rel. 81; 12.64 deg, d 7.005, rel. 58; 40.69 deg, d 2.217, rel. 50; 38.04 deg, d 2.365, rel. 40; 49.44 deg, d 1.844, rel. 20; 68.24 deg, d 1.374, rel. 20; 52.38 deg, d 1.747, rel. 19; 42.78 deg, d 2.114, rel. 18; 68.37 deg, d 1.372, rel. 17; 48.17 deg, d 1.889, rel. 16; 64.84 deg, d 1.438, rel. 13

---

Entry 8:
For LaSiTc2C, a GGA-PBE-relaxed structure gives the theoretical XRD peak list in this record (CuKα).
Neutral-atom scattering factors, no anomalous dispersion.

Structural model:
```
10
Lattice="2.023 -5.522 0.000 2.023 5.522 0.000 0.000 0.000 7.410" Properties=species:S:1:pos:R:3 pbc="T T T"
La 2.023 5.024 5.558
La 2.023 -5.024 1.853
Si 2.023 2.957 1.853
Si 2.023 -2.957 5.558
Tc 2.023 1.909 4.148
Tc 2.023 1.909 6.967
Tc 2.023 -1.909 0.443
Tc 2.023 -1.909 3.262
C 2.023 0.000 0.000
C 2.023 0.000 3.705
```

Most intense lines, 2θ = 10–90°, in order of falling intensity:
33.79 deg, d 2.652, rel. 100; 32.90 deg, d 2.723, rel. 86; 34.67 deg, d 2.587, rel. 43; 29.02 deg, d 3.077, rel. 41; 44.80 deg, d 2.023, rel. 35; 39.99 deg, d 2.255, rel. 32; 35.11 deg, d 2.556, rel. 29; 60.73 deg, d 1.525, rel. 24; 43.71 deg, d 2.071, rel. 24; 26.36 deg, d 3.381, rel. 23; 57.86 deg, d 1.594, rel. 19; 61.59 deg, d 1.506, rel. 18

---

Entry 9:
For La2YSiC, a GGA-PBE-relaxed structure gives the theoretical XRD peak list in this record (CuKα).
Neutral-atom scattering factors, no anomalous dispersion.

Structural model:
```
5
Lattice="5.124 0.000 0.000 0.000 5.124 0.000 0.000 0.000 4.855" Properties=species:S:1:pos:R:3 pbc="T T T"
La 0.000 2.562 0.000
La 2.562 0.000 0.000
Y 0.000 0.000 2.427
Si 2.562 2.562 2.427
C 0.000 0.000 0.000
```

Most intense lines, 2θ = 10–90°, in order of falling intensity:
30.79 deg, d 2.904, rel. 100; 35.02 deg, d 2.562, rel. 39; 60.21 deg, d 1.537, rel. 29; 51.89 deg, d 1.762, rel. 25; 84.62 deg, d 1.145, rel. 17; 37.03 deg, d 2.427, rel. 17; 18.27 deg, d 4.855, rel. 16; 50.37 deg, d 1.812, rel. 14; 64.15 deg, d 1.452, rel. 13; 62.90 deg, d 1.478, rel. 13; 24.57 deg, d 3.623, rel. 12; 39.78 deg, d 2.266, rel. 9

---

Entry 10:
For LaSm3C8, a GGA-PBE-relaxed structure gives the theoretical XRD peak list in this record (CuKα).
Neutral-atom scattering factors, no anomalous dispersion.

Structural model:
```
12
Lattice="-3.575 3.575 3.954 3.575 -3.575 3.954 3.575 3.575 -3.954" Properties=species:S:1:pos:R:3 pbc="T T T"
La 0.000 0.000 0.000
Sm 3.575 0.000 1.977
Sm 0.000 0.000 3.954
Sm 0.000 3.575 1.977
C 1.210 -1.210 1.944
C 1.930 1.930 -1.145
C -1.210 1.210 1.944
C 1.645 -1.645 5.100
C 1.645 1.645 2.809
C 2.365 2.365 2.011
C -1.645 1.645 5.100
C 1.210 1.210 5.965
```

Most intense lines, 2θ = 10–90°, in order of falling intensity:
28.66 deg, d 3.115, rel. 100; 46.25 deg, d 1.963, rel. 59; 24.91 deg, d 3.575, rel. 56; 35.51 deg, d 2.528, rel. 35; 52.92 deg, d 1.730, rel. 19; 71.37 deg, d 1.322, rel. 15; 76.65 deg, d 1.243, rel. 14; 57.65 deg, d 1.599, rel. 13; 59.34 deg, d 1.557, rel. 12; 59.64 deg, d 1.550, rel. 12; 82.33 deg, d 1.171, rel. 11; 51.10 deg, d 1.788, rel. 11

---

Entry 11:
For La2Sm4C, a GGA-PBE-relaxed structure gives the theoretical XRD peak list in this record (CuKα).
Neutral-atom scattering factors, no anomalous dispersion.

Structural model:
```
7
Lattice="1.840 1.063 18.555 -1.840 1.063 18.555 0.000 -2.125 18.555" Properties=species:S:1:pos:R:3 pbc="T T T"
La 0.000 0.000 13.650
La 0.000 0.000 42.014
Sm 0.000 0.000 7.788
Sm 0.000 0.000 19.947
Sm 0.000 0.000 35.716
Sm 0.000 0.000 47.876
C 0.000 0.000 0.000
```

Most intense lines, 2θ = 10–90°, in order of falling intensity:
32.36 deg, d 2.766, rel. 100; 30.85 deg, d 2.898, rel. 98; 28.87 deg, d 3.092, rel. 52; 58.34 deg, d 1.582, rel. 46; 49.53 deg, d 1.840, rel. 42; 28.18 deg, d 3.167, rel. 37; 54.39 deg, d 1.687, rel. 23; 43.15 deg, d 2.097, rel. 18; 28.73 deg, d 3.107, rel. 17; 60.41 deg, d 1.532, rel. 17; 36.11 deg, d 2.487, rel. 16; 59.50 deg, d 1.554, rel. 15

---

Entry 12:
For Sr2La4C, a GGA-PBE-relaxed structure gives the theoretical XRD peak list in this record (CuKα).
Neutral-atom scattering factors, no anomalous dispersion.

Structural model:
```
7
Lattice="-2.674 2.674 9.763 2.674 -2.674 9.763 2.674 2.674 -9.763" Properties=species:S:1:pos:R:3 pbc="T T T"
Sr 0.000 0.000 3.394
Sr 0.000 0.000 16.131
La 2.674 0.000 0.000
La 0.000 0.000 7.355
La 0.000 2.674 0.000
La 0.000 0.000 12.170
C 0.000 0.000 9.763
```

Most intense lines, 2θ = 10–90°, in order of falling intensity:
29.89 deg, d 2.989, rel. 100; 33.52 deg, d 2.674, rel. 56; 25.26 deg, d 3.526, rel. 55; 28.30 deg, d 3.154, rel. 32; 57.70 deg, d 1.598, rel. 31; 48.13 deg, d 1.891, rel. 20; 44.42 deg, d 2.039, rel. 19; 43.82 deg, d 2.066, rel. 19; 17.19 deg, d 5.157, rel. 18; 27.41 deg, d 3.254, rel. 17; 45.10 deg, d 2.010, rel. 13; 55.12 deg, d 1.666, rel. 13